Theoretical powder XRD pattern of SrMgVP2O8 for Cu Kα (weighted mean of Kα1 and Kα2), from DFT lattice parameters and positions (PBE+U).
Intensities are scaled so that the largest is 100.

Structure:
```
data_SrMgVP2O8
_chemical_formula_sum 'Sr2 Mg2 V2 P4 O16'
_symmetry_space_group_name_H-M 'P -1'
_symmetry_Int_Tables_number 2
_cell_length_a 5.562
_cell_length_b 7.047
_cell_length_c 9.428
_cell_angle_alpha 111.62
_cell_angle_beta 100.91
_cell_angle_gamma 98.23
loop_
_symmetry_equiv_pos_as_xyz
'x,y,z'
'-x,-y,-z'
loop_
_atom_site_label
_atom_site_type_symbol
_atom_site_fract_x
_atom_site_fract_y
_atom_site_fract_z
Sr1 Sr 0.246 0.197 0.451
Mg1 Mg 0.494 0.386 0.163
V1 V 0.145 0.852 0.063
P1 P 0.117 0.576 0.265
P2 P 0.339 0.025 0.803
O1 O 0.117 0.949 0.863
O2 O 0.134 0.417 0.100
O3 O 0.146 0.474 0.706
O4 O 0.177 0.802 0.275
O5 O 0.238 0.013 0.637
O6 O 0.333 0.544 0.381
O7 O 0.466 0.120 0.203
O8 O 0.495 0.246 0.930
```

Largest 10 diffraction maxima, low angle first, 5 to 70 degrees two-theta:
2θ/deg  intensity  index
13.90  21.9  0 1 0
22.44  27.7  -1 1 1
27.35  100.0  0 2 -2
27.56  24.2  1 -1 2
29.50  22.3  -1 1 2
30.27  60.1  1 1 1
30.88  22.7  1 1 -3
31.79  34.4  1 0 -3
32.58  37.5  2 0 -1
33.40  53.1  -1 2 1